For Th3TlCo2, a DFT-relaxed cell (PBE, Alexandria) gives the computed PXRD pattern in this record (Cu Kα, 1.54184 Å).

Peak list (10 most intense, 2θ = 5–70°, by intensity)
hkl 0 1 2, 2θ 28.44, rel. 100; hkl 2 1 1, 2θ 34.98, rel. 73; hkl 2 0 3, 2θ 35.40, rel. 62; hkl 2 1 2, 2θ 37.99, rel. 44; hkl 2 1 5, 2θ 55.28, rel. 35; hkl 0 0 4, 2θ 33.54, rel. 28; hkl 2 2 3, 2θ 60.08, rel. 28; hkl 4 1 2, 2θ 59.03, rel. 27; hkl 0 2 0, 2θ 46.87, rel. 24; hkl 2 1 0, 2θ 33.93, rel. 21

Cell lengths 7.2214, 3.8771, 10.6862 Å; angles 90.00, 90.00, 90.00 degrees
Fractional coordinates of all 12 atoms:
Th (0.0000, 0.0000, 0.0000)
Th (0.0008, 0.5000, 0.2897)
Th (0.4992, 0.5000, 0.2897)
Th (0.5000, 0.0000, 0.0000)
Th (0.5008, 0.5000, 0.7103)
Th (0.9992, 0.5000, 0.7103)
Tl (0.2500, 0.0000, 0.5003)
Tl (0.7500, 0.0000, 0.4997)
Co (0.2500, 0.0000, 0.7725)
Co (0.2500, 0.5000, 0.0925)
Co (0.7500, 0.0000, 0.2275)
Co (0.7500, 0.5000, 0.9075)